Diffraction record for Tm2VO5. The X-ray diffraction stick pattern is theoretical, not measured: it uses a DFT-relaxed cell (GGA+U, Alexandria) and Cu Ka.
Peak positions follow from Bragg's law for the DFT cell and can differ from measured ones.

Structure:
Lattice parameters (Å, degrees): 8.7468 7.1739 6.6120 90.00 93.98 90.00
Sites, in units of the cell vectors:
Tm: 0.0227 0.1188 0.2376
Tm: 0.0227 0.3812 0.7376
Tm: 0.3490 0.1478 0.9440
Tm: 0.3490 0.3522 0.4440
Tm: 0.6510 0.6478 0.5560
Tm: 0.6510 0.8522 0.0560
Tm: 0.9773 0.6188 0.2624
Tm: 0.9773 0.8812 0.7624
V: 0.3332 0.5980 0.9380
V: 0.3332 0.9020 0.4380
V: 0.6668 0.0980 0.5620
V: 0.6668 0.4020 0.0620
O: 0.0999 0.1210 0.9040
O: 0.0999 0.3790 0.4040
O: 0.1188 0.6311 0.9588
O: 0.1188 0.8689 0.4588
O: 0.2826 0.0973 0.2555
O: 0.2826 0.4027 0.7555
O: 0.3922 0.6639 0.4820
O: 0.3922 0.8361 0.9820
O: 0.4099 0.0726 0.6296
O: 0.4099 0.4274 0.1296
O: 0.5901 0.5726 0.8704
O: 0.5901 0.9274 0.3704
O: 0.6078 0.1639 0.0180
O: 0.6078 0.3361 0.5180
O: 0.7174 0.5973 0.2445
O: 0.7174 0.9027 0.7445
O: 0.8812 0.1311 0.5412
O: 0.8812 0.3689 0.0412
O: 0.9001 0.6210 0.5960
O: 0.9001 0.8790 0.0960

Top 10 peaks for 2θ = 5–70°, low angle first:
15.99°, rel. 362, hkl 1 1 0; 28.25°, rel. 664, hkl 1 0 -2; 30.48°, rel. 1000, hkl 1 2 1; 30.74°, rel. 492, hkl 3 0 0; 34.56°, rel. 451, hkl 2 2 -1; 35.22°, rel. 266, hkl 2 0 2; 48.41°, rel. 165, hkl 4 0 -2; 48.57°, rel. 308, hkl 0 2 3; 51.76°, rel. 268, hkl 4 2 1; 56.84°, rel. 145, hkl 3 2 -3